Record 1
Computed XRD peak list of ZnGePRh for Cu Kα X-rays, from a crystal structure in Alexandria, relaxed with PBE.
Peak positions follow from Bragg's law for the DFT cell and can differ from measured ones.

Largest 10 diffraction maxima, in order of rising 2θ, 2θ from 10° to 80°:
2θ (°)	intensity
11.9	44
23.9	26
31.7	82
35.5	100
37.5	90
42.6	60
45.6	44
48.9	24
56.1	64
77.6	35

Crystal structure
```
ZnGePRh
1.0
3.281 0.000 0.000
-1.640 2.841 0.000
0.000 0.000 22.331
Zn Ge P Rh
3 3 3 3
Cartesian
0.000 0.000 0.000
0.000 1.894 14.888
1.640 0.947 7.444
0.000 0.000 9.241
0.000 1.894 1.797
1.640 0.947 16.684
0.000 0.000 19.984
0.000 1.894 12.540
1.640 0.947 5.097
0.000 0.000 3.844
0.000 1.894 18.731
1.640 0.947 11.287
```

***

Record 2
Computed XRD peak list of GeP3S9 for Cu Kα X-rays, from a crystal structure in Alexandria, relaxed with PBE.
Peak positions follow from Bragg's law for the DFT cell and can differ from measured ones.

Largest 10 diffraction maxima, in order of rising 2θ, 2θ from 10° to 80°:
2θ (°)	intensity
12.7	67
13.3	52
18.1	100
19.6	66
25.5	35
27.3	44
28.3	39
28.7	38
31.7	42
35.9	38

Crystal structure
```
GeP3S9
1.0
8.787 -3.685 0.000
8.787 3.685 0.000
-8.229 0.000 10.785
Ge P S
2 6 18
Cartesian
4.672 2.151 5.393
8.787 -2.151 0.000
-1.271 2.354 10.172
-1.392 0.131 7.433
2.723 -0.131 2.040
6.077 0.647 2.375
1.962 -0.647 7.767
2.844 -2.354 4.780
0.565 3.158 9.606
4.196 1.444 1.783
7.444 2.017 1.470
2.326 1.249 7.399
5.712 2.569 7.482
-1.191 0.298 9.592
2.923 -0.298 4.199
6.528 1.117 4.366
11.626 1.987 0.956
0.082 -1.444 7.176
6.440 -1.249 2.006
2.413 -1.117 9.759
10.047 0.326 4.362
3.329 -2.017 6.862
5.932 -0.326 9.754
4.680 -3.158 4.213
7.511 -1.987 6.349
9.827 -2.569 2.089
```

***

Record 3
Computed XRD peak list of GePS4 for Cu Kα X-rays, from a crystal structure in Alexandria, relaxed with PBE.
Peak positions follow from Bragg's law for the DFT cell and can differ from measured ones.

Largest 10 diffraction maxima, in order of rising 2θ, 2θ from 10° to 80°:
2θ (°)	intensity
18.6	100
19.0	58
23.0	89
25.9	48
26.9	60
32.9	86
37.7	49
43.2	32
49.6	23
50.4	68

Crystal structure
```
GePS4
1.0
6.619 0.000 0.000
0.000 6.624 0.000
0.000 0.000 6.869
Ge P S
2 2 8
Cartesian
0.000 1.344 0.000
3.310 5.280 3.435
0.000 3.560 3.727
3.310 3.064 0.292
0.000 1.578 4.576
0.000 5.878 0.624
1.555 4.563 4.756
1.755 2.061 1.321
3.310 0.746 4.059
3.310 5.046 1.141
4.864 2.061 1.321
5.064 4.563 4.756
```

***

Record 4
Computed XRD peak list of ZnGeP2S for Cu Kα X-rays, from a crystal structure in Alexandria, relaxed with PBE.
Peak positions follow from Bragg's law for the DFT cell and can differ from measured ones.

Largest 10 diffraction maxima, in order of rising 2θ, 2θ from 10° to 80°:
2θ (°)	intensity
26.8	100
27.6	51
33.3	44
37.2	48
39.4	81
46.9	24
48.3	41
55.3	57
56.9	26
70.0	28

Crystal structure
```
ZnGeP2S
1.0
4.577 0.000 0.000
0.000 4.577 0.000
0.000 0.000 4.830
Zn Ge P S
1 1 2 1
Cartesian
0.000 0.000 0.000
2.288 2.288 2.415
0.000 2.288 0.000
2.288 0.000 0.000
0.000 0.000 2.415
```